Theoretical X-ray diffraction stick pattern
Compound: Rb3FeO3
Radiation: copper Kα
Structure: the PBE+U geometry in Alexandria
Kinematic intensities with the Lorentz-polarization factor, no thermal factor.

Structure:
a = 7.7218 Å, b = 7.0016 Å, c = 11.1486 Å
α = 90.00°, β = 95.61°, γ = 90.00°
Space group P2_1/c (No. 14)
Unique sites:
Rb1 0.0496 0.1253 0.1529 [4 per cell]
Rb2 0.3547 0.1758 0.9273 [4 per cell]
Rb3 0.3657 0.6859 0.8044 [4 per cell]
Fe1 0.1539 0.5796 0.0638 [4 per cell]
O1 0.0969 0.0531 0.4075 [4 per cell]
O2 0.2431 0.6730 0.5398 [4 per cell]
O3 0.2945 0.0575 0.6809 [4 per cell]

The 8 most intense peaks (2θ = 10–90°), in order of rising 2θ:
| Position (°2θ) | intensity |
| --- | --- |
| 24.3 | 14.1 |
| 26.9 | 17.3 |
| 28.7 | 29.5 |
| 29.5 | 100.0 |
| 29.8 | 46.0 |
| 34.8 | 44.8 |
| 35.1 | 15.1 |
| 37.5 | 13.8 |